For PaTiO5, a cell relaxed with GGA-PBE gives the theoretical X-ray diffraction stick pattern in this record (Cu Kα (λ = 1.5418 Å)).

Crystal structure
Lattice parameters (Å, degrees): 9.570 5.189 8.882 90.00 90.00 90.00
Space group Cmcm (No. 63)
Unique sites:
1 Pa 0.000 0.000 0.000 (multiplicity 4)
2 Ti 0.000 0.416 0.250 (multiplicity 4)
3 O 0.000 0.233 0.750 (multiplicity 4)
4 O 0.128 0.255 0.108 (multiplicity 16)

Principal peaks in the range 10° ≤ 2θ ≤ 90°, in order of falling intensity:
hkl	2theta	Rel. int.
1 1 2	28.04	100
2 0 0	18.54	81
1 1 0	19.46	56
3 1 2	38.85	43
0 0 2	19.99	24
2 2 4	58.00	21
2 2 2	44.66	20
2 0 2	27.40	19